This entry pairs a crystal structure of SrCoAsHO5 with its computed powder X-ray diffraction pattern. Radiation: Cu Kα (weighted mean of Kα1 and Kα2). Structure: a structure optimized by DFT (PBE+U).
Kinematic intensities with the Lorentz-polarization factor, no thermal factor.

Top 12 peaks for 2θ = 10–90°, by angle:
2θ/deg, I_rel
21.17, 33.3
27.84, 100.0
29.63, 20.2
31.48, 74.1
33.44, 62.7
34.10, 47.9
34.90, 52.4
35.60, 20.1
49.15, 22.8
52.29, 20.3
56.22, 35.5
60.18, 22.0

Crystal structure
```
data_SrCoAsHO5
_space_group_name_H-M_alt 'P 21 21 21'
_space_group_IT_number 19
_space_group_name_Hall 'P 2ac 2ab'
_cell_length_a 6.030
_cell_length_b 7.566
_cell_length_c 9.200
_cell_angle_alpha 90.00
_cell_angle_beta 90.00
_cell_angle_gamma 90.00
loop_
_atom_site_label
_atom_site_fract_x
_atom_site_fract_y
_atom_site_fract_z
Sr1 0.025 0.136 0.168
Co1 0.244 0.257 0.505
As1 0.012 0.618 0.687
H1 0.010 0.989 0.490
O1 0.003 0.101 0.435
O2 0.010 0.939 0.930
O3 0.068 0.793 0.574
O4 0.236 0.143 0.721
O5 0.242 0.607 0.798
```